Structure and computed PXRD pattern of Fe5Ge (a PBE-relaxed structure; Cu Kα (λ = 1.5418 Å)).
Kinematic intensities with the Lorentz-polarization factor, no thermal factor.

Crystal structure
```
data_Fe5Ge
_cell_length_a 4.039
_cell_length_b 4.039
_cell_length_c 4.969
_cell_angle_alpha 90.12
_cell_angle_beta 90.12
_cell_angle_gamma 60.09
_space_group_name_H-M_alt 'P 1'
_space_group_IT_number 1
loop_
_space_group_symop_operation_xyz
'x,y,z'
loop_
_atom_site_label
_atom_site_fract_x
_atom_site_fract_y
_atom_site_fract_z
Fe1 0.000 0.000 0.000
Fe2 0.333 0.333 0.324
Fe3 0.333 0.333 0.832
Fe4 0.667 0.667 0.168
Fe5 0.667 0.667 0.676
Ge1 0.000 0.000 0.500
```

Main lines, sorted by position (15° ≤ 2θ ≤ 90°):
2θ (°)	d_spacing	I/Imax
31.26	2.861	1
44.73	2.026	100
44.86	2.020	99
65.16	1.432	20
65.34	1.428	10
82.34	1.171	10
82.46	1.170	5
82.60	1.168	20
82.71	1.167	19
82.82	1.165	5